[1]
Starting from a crystal structure in Alexandria, relaxed with PBE, the powder XRD pattern of Zr4CuAg was simulated for a wavelength of 1.5418 Å.

Most intense lines, 2θ from 10° to 90°, low angle first:
(1 0 2), d 2.839, 31.5 deg, I = 4.5
(1 0 3), d 2.498, 36.0 deg, I = 100.0
(1 1 0), d 2.294, 39.3 deg, I = 40.9
(0 0 6), d 1.958, 46.4 deg, I = 10.2
(2 0 0), d 1.622, 56.8 deg, I = 13.4
(1 1 6), d 1.489, 62.4 deg, I = 16.5
(2 1 3), d 1.360, 69.1 deg, I = 27.5
(2 0 6), d 1.249, 76.2 deg, I = 8.8
(1 0 9), d 1.211, 79.1 deg, I = 6.2
(2 2 0), d 1.147, 84.5 deg, I = 4.1

Cell and atoms:
```
data_Zr4CuAg
_symmetry_space_group_name_H-M 'P 4/m m m'
_symmetry_Int_Tables_number 123
_symmetry_space_group_name_Hall '-P 4 2'
_cell_length_a 3.2435
_cell_length_b 3.2435
_cell_length_c 11.7450
_cell_angle_alpha 90.00
_cell_angle_beta 90.00
_cell_angle_gamma 90.00
loop_
_atom_site_label
_atom_site_fract_x
_atom_site_fract_y
_atom_site_fract_z
_atom_site_occupancy
Zr1 0.0000 0.0000 0.1468 1
Zr2 0.5000 0.5000 0.3284 1
Cu1 0.5000 0.5000 0.0000 1
Ag1 0.0000 0.0000 0.5000 1
```

[2]
Starting from a crystal structure in Alexandria, relaxed with PBE, the powder XRD pattern of Dy2Ag3 was simulated for a wavelength of 1.5418 Å.

Most intense lines, 2θ from 10° to 90°, low angle first:
(1 1 0), d 2.593, 34.6 deg, I = 59.1
(1 0 5), d 2.482, 36.2 deg, I = 100.0
(2 0 0), d 1.834, 49.7 deg, I = 20.7
(0 0 10), d 1.686, 54.4 deg, I = 6.6
(2 1 5), d 1.475, 63.0 deg, I = 38.2
(1 1 10), d 1.413, 66.1 deg, I = 14.6
(2 2 0), d 1.297, 73.0 deg, I = 6.4
(2 0 10), d 1.241, 76.8 deg, I = 9.4
(3 1 0), d 1.160, 83.3 deg, I = 9.1
(3 0 5), d 1.149, 84.3 deg, I = 8.5

Cell and atoms:
```
data_Dy2Ag3
_symmetry_space_group_name_H-M 'I 4/m m m'
_symmetry_Int_Tables_number 139
_symmetry_space_group_name_Hall '-I 4 2'
_cell_length_a 3.6672
_cell_length_b 3.6672
_cell_length_c 16.8570
_cell_angle_alpha 90.00
_cell_angle_beta 90.00
_cell_angle_gamma 90.00
loop_
_atom_site_label
_atom_site_fract_x
_atom_site_fract_y
_atom_site_fract_z
_atom_site_occupancy
Dy1 0.0000 0.0000 0.1076 1
Ag1 0.0000 0.0000 0.2934 1
Ag2 0.0000 0.0000 0.5000 1
```